[1]
Simulated XRD peak list of HgPtAu2 for Cu Kα (weighted mean of Kα1 and Kα2), from a structure optimized by DFT (PBE).
No peak broadening, texture or thermal motion is included.

Peak list (12 most intense, 2θ from 10° to 90°, by intensity)
d [Å], intensity, index
2.412, 100.0, 0 2 2
2.403, 99.0, 2 0 2
2.092, 66.4, 2 2 0
1.472, 43.8, 2 2 4
2.072, 32.3, 0 0 4
1.262, 26.7, 2 4 2
1.258, 26.4, 4 2 2
1.252, 26.0, 2 0 6
1.206, 11.7, 0 4 4
1.202, 11.5, 4 0 4
1.483, 11.2, 0 4 0
1.475, 11.0, 4 0 0

Cell and atoms:
Cell: 5.9001 5.9332 8.2877 Å, 90.00 90.00 90.00°
Space group F222 (No. 22)
Unique sites:
Hg (0.0000, 0.0000, 0.0000)
Pt (0.2500, 0.2500, 0.2500)
Au (0.0000, 0.0000, 0.5000)
Au (0.2500, 0.2500, 0.7500)

***

[2]
Simulated XRD peak list of CaMg3Sn6 for Cu Kα (weighted mean of Kα1 and Kα2), from a structure optimized by DFT (PBE).
No peak broadening, texture or thermal motion is included.

Peak list (12 most intense, 2θ from 10° to 90°, by intensity)
d [Å], intensity, index
2.734, 100.0, 1 3 1
2.672, 50.5, 0 2 4
2.637, 48.7, 2 0 0
2.440, 38.0, -1 3 1
2.449, 35.6, 1 1 -3
4.298, 32.1, 1 1 2
2.149, 26.9, 2 2 4
1.622, 20.8, 1 5 5
3.376, 17.4, -1 1 2
3.544, 16.0, 0 2 -1
1.688, 13.1, -2 2 4
1.773, 12.3, 0 4 -2

Cell and atoms:
Cell: 5.4284 8.9742 11.5584 Å, 70.04 77.05 81.45°
Space group P-1 (No. 2)
Unique sites:
Ca (0.2276, 0.0546, 0.1074)
Mg (0.2455, 0.4572, 0.8999)
Mg (0.2502, 0.6432, 0.3106)
Mg (0.2522, 0.2557, 0.4901)
Sn (0.2400, 0.9339, 0.4145)
Sn (0.2448, 0.5447, 0.6002)
Sn (0.2526, 0.3699, 0.1958)
Sn (0.2548, 0.1796, 0.7795)
Sn (0.2549, 0.7279, 0.0199)
Sn (0.2744, 0.8500, 0.7001)

***

[3]
Simulated XRD peak list of NdDyHo3Th for Cu Kα (weighted mean of Kα1 and Kα2), from a structure optimized by DFT (PBE).
No peak broadening, texture or thermal motion is included.

Peak list (12 most intense, 2θ from 10° to 90°, by intensity)
d [Å], intensity, index
2.912, 100.0, 1 1 2
2.522, 50.7, 0 2 0
1.784, 30.3, 1 2 -4
1.522, 21.7, 1 3 2
1.520, 14.3, 3 1 -6
1.129, 11.2, 1 4 -4
1.158, 9.0, 0 3 6
1.518, 7.1, 5 1 -2
1.458, 6.2, 2 2 4
1.454, 6.2, 4 2 -4
1.779, 6.0, 4 0 -4
1.157, 6.0, 3 3 -6

Cell and atoms:
Cell: 7.9572 5.0498 10.0879 Å, 90.00 108.29 90.00°
Space group P2_1/m (No. 11)
Unique sites:
Nd (0.1723, 0.2500, 0.2926)
Dy (0.4980, 0.7500, 0.8723)
Ho (0.1689, 0.7500, 0.0426)
Ho (0.1700, 0.2500, 0.7923)
Ho (0.1743, 0.7500, 0.5438)
Th (0.4994, 0.7500, 0.3767)